[1]
Starting from a GGA-PBE-relaxed structure, the powder diffraction line list of CaPAu was simulated for Cu Kα (λ = 1.5418 Å).

Top 10 peaks for 10° ≤ 2θ ≤ 80°, in order of rising 2θ:
| index | 2theta | d (Å) | I (rel.) |
| --- | --- | --- | --- |
| 0 0 2 | 22.26 | 3.994 | 42 |
| 1 0 0 | 23.89 | 3.724 | 16 |
| 1 0 1 | 26.40 | 3.376 | 100 |
| 1 0 2 | 32.88 | 2.724 | 69 |
| 1 0 3 | 41.70 | 2.166 | 31 |
| 1 1 0 | 42.02 | 2.150 | 52 |
| 1 1 2 | 48.05 | 1.893 | 35 |
| 2 0 1 | 50.31 | 1.814 | 19 |
| 2 0 2 | 54.36 | 1.688 | 16 |
| 1 1 4 | 63.58 | 1.463 | 30 |

Atomic structure:
abc: 4.3007 4.3007 7.9879
angles: 90.00 90.00 120.00
Space group P6_3/mmc (No. 194)
Asymmetric unit:
Ca: 0.0000 0.0000 0.0000 x2
P: 0.3333 0.6667 0.2500 x2
Au: 0.3333 0.6667 0.7500 x2

=====

[2]
Starting from a GGA-PBE-relaxed structure, the powder diffraction line list of Ca2PdAu was simulated for Cu Kα (λ = 1.5418 Å).

Top 10 peaks for 10° ≤ 2θ ≤ 80°, in order of rising 2θ:
| index | 2theta | d (Å) | I (rel.) |
| --- | --- | --- | --- |
| 1 1 1 | 21.38 | 4.156 | 11 |
| 2 0 0 | 24.74 | 3.599 | 39 |
| 2 2 0 | 35.27 | 2.545 | 100 |
| 3 1 1 | 41.61 | 2.170 | 7 |
| 2 2 2 | 43.55 | 2.078 | 12 |
| 4 0 0 | 50.73 | 1.800 | 17 |
| 4 2 0 | 57.24 | 1.610 | 17 |
| 4 2 2 | 63.29 | 1.469 | 35 |
| 4 4 0 | 74.58 | 1.272 | 11 |
| 6 0 0 | 79.97 | 1.200 | 8 |

Atomic structure:
abc: 7.198 7.198 7.198
angles: 90.00 90.00 90.00
Space group Fm-3m (No. 225)
Asymmetric unit:
Ca: 0.250 0.250 0.250 x8
Pd: 0.000 0.000 0.000 x4
Au: 0.000 0.000 0.500 x4

=====

[3]
Starting from a GGA-PBE-relaxed structure, the powder diffraction line list of Ca2PtAu was simulated for Cu Kα (λ = 1.5418 Å).

Top 10 peaks for 10° ≤ 2θ ≤ 80°, in order of rising 2θ:
| index | 2theta | d (Å) | I (rel.) |
| --- | --- | --- | --- |
| 0 0 2 | 16.36 | 5.419 | 30 |
| 0 1 1 | 23.25 | 3.825 | 59 |
| 1 0 2 | 25.92 | 3.438 | 32 |
| 1 1 1 | 30.83 | 2.900 | 46 |
| 1 1 3 | 38.94 | 2.313 | 100 |
| 2 0 0 | 40.57 | 2.223 | 19 |
| 0 2 0 | 44.31 | 2.044 | 15 |
| 2 1 1 | 47.29 | 1.922 | 19 |
| 1 2 4 | 60.43 | 1.532 | 16 |
| 3 1 3 | 72.73 | 1.300 | 16 |

Atomic structure:
abc: 4.447 4.088 10.838
angles: 90.00 90.00 90.00
Space group Amm2 (No. 38)
Asymmetric unit:
Ca: 0.000 0.000 0.000 x2
Ca: 0.500 0.000 0.281 x2
Pt: 0.000 0.000 0.721 x2
Au: 0.500 0.000 0.562 x2

=====

[4]
Starting from a GGA-PBE-relaxed structure, the powder diffraction line list of Ca2PtAu was simulated for Cu Kα (λ = 1.5418 Å).

Top 7 peaks for 10° ≤ 2θ ≤ 80°, in order of rising 2θ:
| index | 2theta | d (Å) | I (rel.) |
| --- | --- | --- | --- |
| 2 0 0 | 24.92 | 3.573 | 50 |
| 2 2 0 | 35.53 | 2.526 | 100 |
| 2 2 2 | 43.89 | 2.063 | 16 |
| 4 0 0 | 51.13 | 1.786 | 18 |
| 4 2 0 | 57.69 | 1.598 | 22 |
| 4 2 2 | 63.81 | 1.459 | 36 |
| 4 4 0 | 75.22 | 1.263 | 11 |

Atomic structure:
abc: 7.146 7.146 7.146
angles: 90.00 90.00 90.00
Space group Fm-3m (No. 225)
Asymmetric unit:
Ca: 0.250 0.250 0.250 x8
Pt: 0.000 0.000 0.000 x4
Au: 0.000 0.000 0.500 x4

=====

[5]
Starting from a GGA-PBE-relaxed structure, the powder diffraction line list of CaSbAu was simulated for Cu Kα (λ = 1.5418 Å).

Top 10 peaks for 10° ≤ 2θ ≤ 80°, in order of rising 2θ:
| index | 2theta | d (Å) | I (rel.) |
| --- | --- | --- | --- |
| 0 0 2 | 21.57 | 4.120 | 74 |
| 1 0 0 | 21.84 | 4.069 | 38 |
| 1 0 1 | 24.40 | 3.649 | 18 |
| 1 0 2 | 30.89 | 2.895 | 100 |
| 1 1 0 | 38.31 | 2.349 | 90 |
| 0 0 4 | 43.96 | 2.060 | 20 |
| 1 1 2 | 44.39 | 2.041 | 70 |
| 2 0 2 | 50.00 | 1.824 | 26 |
| 1 1 4 | 59.70 | 1.549 | 48 |
| 2 1 2 | 64.69 | 1.441 | 23 |

Atomic structure:
abc: 4.6988 4.6988 8.2390
angles: 90.00 90.00 120.00
Space group P6_3/mmc (No. 194)
Asymmetric unit:
Ca: 0.0000 0.0000 0.0000 x2
Sb: 0.3333 0.6667 0.2500 x2
Au: 0.3333 0.6667 0.7500 x2

=====

[6]
Starting from a GGA-PBE-relaxed structure, the powder diffraction line list of CaSi2Au2 was simulated for Cu Kα (λ = 1.5418 Å).

Top 10 peaks for 10° ≤ 2θ ≤ 80°, in order of rising 2θ:
| index | 2theta | d (Å) | I (rel.) |
| --- | --- | --- | --- |
| 0 0 2 | 17.55 | 5.055 | 72 |
| 1 1 0 | 28.81 | 3.099 | 33 |
| 1 1 2 | 33.94 | 2.642 | 100 |
| 0 0 4 | 35.52 | 2.527 | 16 |
| 2 0 0 | 41.20 | 2.191 | 36 |
| 2 0 2 | 45.10 | 2.010 | 28 |
| 1 1 4 | 46.36 | 1.958 | 36 |
| 2 0 4 | 55.51 | 1.655 | 18 |
| 1 1 6 | 62.75 | 1.481 | 26 |
| 3 1 2 | 70.47 | 1.336 | 33 |

Atomic structure:
abc: 4.382 4.382 10.109
angles: 90.00 90.00 90.00
Space group I4/mmm (No. 139)
Asymmetric unit:
Ca: 0.000 0.000 0.000 x2
Si: 0.000 0.000 0.385 x4
Au: 0.000 0.500 0.250 x4

=====

[7]
Starting from a GGA-PBE-relaxed structure, the powder diffraction line list of CaSnAu was simulated for Cu Kα (λ = 1.5418 Å).

Top 10 peaks for 10° ≤ 2θ ≤ 80°, in order of rising 2θ:
| index | 2theta | d (Å) | I (rel.) |
| --- | --- | --- | --- |
| 1 0 1 | 21.33 | 4.165 | 58 |
| 0 2 0 | 24.10 | 3.693 | 48 |
| 1 2 1 | 32.40 | 2.763 | 91 |
| 2 0 0 | 37.40 | 2.405 | 100 |
| 0 3 1 | 38.12 | 2.361 | 15 |
| 1 2 3 | 44.99 | 2.015 | 61 |
| 0 2 4 | 50.30 | 1.814 | 25 |
| 2 3 1 | 54.41 | 1.686 | 17 |
| 2 4 0 | 63.52 | 1.465 | 19 |
| 3 2 1 | 64.31 | 1.449 | 17 |

Atomic structure:
abc: 4.814 7.386 8.321
angles: 90.00 90.00 90.00
Space group Imm2 (No. 44)
Asymmetric unit:
Ca: 0.000 0.000 0.000 x2
Ca: 0.000 0.500 0.068 x2
Sn: 0.000 0.205 0.368 x4
Au: 0.000 0.278 0.699 x4

=====

[8]
Starting from a GGA-PBE-relaxed structure, the powder diffraction line list of CaSnAu was simulated for Cu Kα (λ = 1.5418 Å).

Top 10 peaks for 10° ≤ 2θ ≤ 80°, in order of rising 2θ:
| index | 2theta | d (Å) | I (rel.) |
| --- | --- | --- | --- |
| 5 0 1 | 15.99 | 5.542 | 16 |
| 0 1 1 | 21.46 | 4.140 | 45 |
| 10 0 0 | 23.85 | 3.731 | 44 |
| 10 1 1 | 32.30 | 2.772 | 75 |
| 0 2 0 | 37.63 | 2.390 | 100 |
| 15 0 1 | 37.76 | 2.382 | 22 |
| 10 1 3 | 45.04 | 2.013 | 56 |
| 15 1 2 | 46.64 | 1.947 | 19 |
| 10 0 4 | 50.42 | 1.810 | 20 |
| 0 3 3 | 67.92 | 1.380 | 17 |

Atomic structure:
abc: 37.313 4.782 8.277
angles: 90.00 90.00 90.00
Space group Pnma (No. 62)
Asymmetric unit:
Ca: 0.001 0.250 0.216 x4
Ca: 0.100 0.250 0.290 x4
Ca: 0.100 0.750 0.708 x4
Ca: 0.199 0.250 0.210 x4
Ca: 0.201 0.750 0.787 x4
Sn: 0.041 0.250 0.586 x4
Sn: 0.059 0.750 0.085 x4
Sn: 0.140 0.750 0.084 x4
Sn: 0.159 0.250 0.584 x4
Sn: 0.240 0.750 0.412 x4
Au: 0.040 0.750 0.414 x4
Au: 0.056 0.250 0.914 x4
Au: 0.144 0.250 0.913 x4
Au: 0.160 0.750 0.413 x4
Au: 0.241 0.250 0.584 x4

=====

[9]
Starting from a GGA-PBE-relaxed structure, the powder diffraction line list of Ca2Zn3Au9 was simulated for Cu Kα (λ = 1.5418 Å).

Top 10 peaks for 10° ≤ 2θ ≤ 80°, in order of rising 2θ:
| index | 2theta | d (Å) | I (rel.) |
| --- | --- | --- | --- |
| 1 1 1 | 20.70 | 4.290 | 42 |
| 0 2 2 | 25.09 | 3.549 | 44 |
| 2 0 0 | 33.27 | 2.693 | 29 |
| 0 4 0 | 35.33 | 2.541 | 37 |
| 0 0 4 | 36.23 | 2.479 | 35 |
| 1 3 3 | 41.70 | 2.166 | 75 |
| 2 2 2 | 42.12 | 2.145 | 100 |
| 1 5 1 | 48.76 | 1.868 | 24 |
| 1 1 5 | 49.81 | 1.831 | 22 |
| 1 5 5 | 68.33 | 1.373 | 21 |

Atomic structure:
abc: 5.386 10.163 9.917
angles: 90.00 90.00 90.00
Space group C222 (No. 21)
Asymmetric unit:
Ca: 0.250 0.250 0.245 x4
Zn: 0.000 0.000 0.500 x2
Zn: 0.000 0.500 0.000 x2
Zn: 0.000 0.500 0.500 x2
Au: 0.000 0.000 0.000 x2
Au: 0.247 0.450 0.741 x8
Au: 0.250 0.250 0.545 x4
Au: 0.250 0.250 0.943 x4

=====

[10]
Starting from a GGA-PBE-relaxed structure, the powder diffraction line list of CdAu3 was simulated for Cu Kα (λ = 1.5418 Å).

Top 10 peaks for 10° ≤ 2θ ≤ 80°, in order of rising 2θ:
| index | 2theta | d (Å) | I (rel.) |
| --- | --- | --- | --- |
| 0 0 2 | 20.55 | 4.322 | 1 |
| 1 0 1 | 23.73 | 3.749 | 4 |
| 1 1 2 | 36.96 | 2.432 | 100 |
| 0 0 4 | 41.80 | 2.161 | 18 |
| 2 0 0 | 43.50 | 2.080 | 32 |
| 2 0 4 | 61.91 | 1.499 | 22 |
| 2 2 0 | 63.21 | 1.471 | 11 |
| 1 1 6 | 73.14 | 1.294 | 14 |
| 3 1 2 | 75.54 | 1.259 | 25 |
| 2 2 4 | 78.69 | 1.216 | 11 |

Atomic structure:
abc: 4.161 4.161 8.645
angles: 90.00 90.00 90.00
Space group I4/mmm (No. 139)
Asymmetric unit:
Cd: 0.000 0.000 0.000 x2
Au: 0.000 0.000 0.500 x2
Au: 0.000 0.500 0.250 x4

=====

[11]
Starting from a GGA-PBE-relaxed structure, the powder diffraction line list of Cd3Au was simulated for Cu Kα (λ = 1.5418 Å).

Top 10 peaks for 10° ≤ 2θ ≤ 80°, in order of rising 2θ:
| index | 2theta | d (Å) | I (rel.) |
| --- | --- | --- | --- |
| 0 0 2 | 20.27 | 4.381 | 15 |
| 1 1 0 | 21.37 | 4.158 | 14 |
| 1 1 1 | 23.70 | 3.755 | 19 |
| 2 0 2 | 32.18 | 2.782 | 13 |
| 3 0 0 | 37.46 | 2.401 | 100 |
| 1 1 3 | 37.64 | 2.390 | 100 |
| 3 0 2 | 42.96 | 2.105 | 17 |
| 2 2 3 | 54.15 | 1.694 | 28 |
| 3 3 0 | 67.59 | 1.386 | 13 |
| 4 1 3 | 67.71 | 1.384 | 24 |

Atomic structure:
abc: 8.3158 8.3158 8.7616
angles: 90.00 90.00 120.00
Space group P6_3cm (No. 185)
Asymmetric unit:
Cd: 0.0000 0.0000 0.0000 x2
Cd: 0.0000 0.2924 0.2505 x6
Cd: 0.0000 0.3676 0.5940 x6
Cd: 0.3333 0.6667 0.3775 x4
Au: 0.0000 0.3293 0.9226 x6

=====

[12]
Starting from a GGA-PBE-relaxed structure, the powder diffraction line list of Cd8Au5 was simulated for Cu Kα (λ = 1.5418 Å).

Top 10 peaks for 10° ≤ 2θ ≤ 80°, in order of rising 2θ:
| index | 2theta | d (Å) | I (rel.) |
| --- | --- | --- | --- |
| 2 1 1 | 21.44 | 4.145 | 10 |
| 3 3 0 | 37.59 | 2.393 | 100 |
| 3 3 2 | 41.73 | 2.165 | 3 |
| 4 2 2 | 43.68 | 2.072 | 5 |
| 6 0 0 | 54.21 | 1.692 | 13 |
| 6 1 1 | 55.82 | 1.647 | 3 |
| 4 4 4 | 63.48 | 1.465 | 5 |
| 5 5 0 | 64.95 | 1.436 | 3 |
| 6 3 3 | 67.83 | 1.382 | 22 |
| 7 4 1 | 76.18 | 1.250 | 11 |

Atomic structure:
abc: 10.153 10.153 10.153
angles: 90.00 90.00 90.00
Space group I-43m (No. 217)
Asymmetric unit:
Cd: 0.037 0.313 0.687 x24
Cd: 0.109 0.109 0.891 x8
Au: 0.000 0.000 0.358 x12
Au: 0.173 0.173 0.173 x8